Structure and simulated powder diffraction line list of AlH3 (a DFT-relaxed cell (PBE, the Materials Project); Cu Kα (weighted mean of Kα1 and Kα2)).

Top 10 peaks for 2θ from 10° to 90°, by intensity:
2θ/deg  intensity
16.97  1000
34.33  504
32.83  442
39.85  196
68.82  191
57.62  177
43.60  158
60.53  146
52.55  136
81.75  90

Structure:
```
data_AlH3
_cell_length_a 6.3985
_cell_length_b 6.3985
_cell_length_c 6.3985
_cell_angle_alpha 60.00
_cell_angle_beta 60.00
_cell_angle_gamma 60.00
_symmetry_space_group_name_H-M 'P 1'
_symmetry_Int_Tables_number 1
loop_
_symmetry_equiv_pos_as_xyz
'x,y,z'
loop_
_atom_site_label
_atom_site_type_symbol
_atom_site_fract_x
_atom_site_fract_y
_atom_site_fract_z
Al1 Al 0.0000 0.0000 0.0000
Al2 Al 0.0000 0.0000 0.5000
Al3 Al 0.0000 0.5000 0.0000
Al4 Al 0.5000 0.0000 0.0000
H1 H 0.0713 0.0713 0.6787
H2 H 0.0713 0.6787 0.0713
H3 H 0.0713 0.6787 0.6787
H4 H 0.3213 0.3213 0.9287
H5 H 0.3213 0.9287 0.3213
H6 H 0.3213 0.9287 0.9287
H7 H 0.6787 0.0713 0.0713
H8 H 0.6787 0.0713 0.6787
H9 H 0.6787 0.6787 0.0713
H10 H 0.9287 0.3213 0.3213
H11 H 0.9287 0.3213 0.9287
H12 H 0.9287 0.9287 0.3213
```